Record 1
Computed powder XRD pattern
Compound: CaNb2Ga2Cu3O12
Radiation: Cu Kα
Structure: the PBE geometry in the Materials Project

Peak list (10 most intense, 5° ≤ 2θ ≤ 70°, sorted by position)
hkl 1 1 0, 16.6 deg, 5.348 Å, rel. 1
hkl 1 1 1, 20.3 deg, 4.366 Å, rel. 2
hkl 2 0 0, 23.5 deg, 3.781 Å, rel. 6
hkl 2 1 1, 28.9 deg, 3.088 Å, rel. 2
hkl 2 2 0, 33.5 deg, 2.674 Å, rel. 100
hkl 3 0 1, 37.6 deg, 2.392 Å, rel. 4
hkl 3 1 2, 44.8 deg, 2.021 Å, rel. 2
hkl 4 0 0, 48.1 deg, 1.891 Å, rel. 26
hkl 4 0 2, 54.2 deg, 1.691 Å, rel. 3
hkl 4 2 2, 59.9 deg, 1.544 Å, rel. 48

Atomic structure:
```
data_CaNb2Ga2Cu3O12
_chemical_formula_sum 'Ca2 Nb4 Ga4 Cu6 O24'
_cell_length_a 7.563
_cell_length_b 7.563
_cell_length_c 7.563
_cell_angle_alpha 90.00
_cell_angle_beta 90.00
_cell_angle_gamma 90.00
_symmetry_space_group_name_H-M 'P n -3'
_symmetry_Int_Tables_number 201
loop_
_symmetry_equiv_pos_as_xyz
'x,y,z'
'-x,-y,-z'
'-x+1/2,-y+1/2,z'
'x+1/2,y+1/2,-z'
'x,-y+1/2,-z+1/2'
'-x,y+1/2,z+1/2'
'-x+1/2,y,-z+1/2'
'x+1/2,-y,z+1/2'
'z,x,y'
'-z,-x,-y'
'z,-x+1/2,-y+1/2'
'-z,x+1/2,y+1/2'
'-z+1/2,x,-y+1/2'
'z+1/2,-x,y+1/2'
'-z+1/2,-x+1/2,y'
'z+1/2,x+1/2,-y'
'y,z,x'
'-y,-z,-x'
'-y+1/2,z,-x+1/2'
'y+1/2,-z,x+1/2'
'-y+1/2,-z+1/2,x'
'y+1/2,z+1/2,-x'
'y,-z+1/2,-x+1/2'
'-y,z+1/2,x+1/2'
loop_
_atom_site_label
_atom_site_fract_x
_atom_site_fract_y
_atom_site_fract_z
Ca1 0.250 0.250 0.250
Nb1 0.000 0.000 0.000
Ga1 0.000 0.000 0.500
Cu1 0.250 0.250 0.750
O1 0.054 0.749 0.925
```

=====

Record 2
Computed powder XRD pattern
Compound: SiO2
Radiation: Cu Kα
Structure: the PBE geometry in the Materials Project

Peak list (10 most intense, 5° ≤ 2θ ≤ 70°, sorted by position)
hkl 0 1 0, 20.8 deg, 4.281 Å, rel. 47
hkl 0 0 2, 22.3 deg, 3.994 Å, rel. 100
hkl 1 0 -1, 22.8 deg, 3.897 Å, rel. 70
hkl 0 1 1, 23.6 deg, 3.773 Å, rel. 44
hkl 1 1 0, 29.4 deg, 3.037 Å, rel. 97
hkl 1 0 -2, 29.5 deg, 3.026 Å, rel. 27
hkl 1 1 -1, 31.0 deg, 2.882 Å, rel. 35
hkl 1 1 2, 38.0 deg, 2.367 Å, rel. 49
hkl 0 1 3, 39.9 deg, 2.261 Å, rel. 18
hkl 2 1 -2, 51.5 deg, 1.773 Å, rel. 23

Atomic structure:
```
data_SiO2
_chemical_formula_sum 'Si4 O8'
_cell_length_a 4.318
_cell_length_b 4.281
_cell_length_c 8.003
_cell_angle_alpha 90.00
_cell_angle_beta 93.62
_cell_angle_gamma 90.00
_symmetry_space_group_name_H-M 'P 1 2 1'
_symmetry_Int_Tables_number 3
_symmetry_space_group_name_Hall 'P 2y'
loop_
_atom_site_label
_atom_site_fract_x
_atom_site_fract_y
_atom_site_fract_z
Si1 0.053 0.000 0.306
Si2 0.362 0.595 0.821
O1 0.000 0.920 0.500
O2 0.123 0.866 0.865
O3 0.128 0.353 0.709
O4 0.391 0.807 0.287
O5 0.500 0.443 0.000
```

=====

Record 3
Computed powder XRD pattern
Compound: GdCo9Si4
Radiation: Cu Kα
Structure: the PBE geometry in the Materials Project

Peak list (10 most intense, 5° ≤ 2θ ≤ 70°, sorted by position)
hkl 2 0 0, 22.9 deg, 3.891 Å, rel. 26
hkl 0 0 4, 29.9 deg, 2.984 Å, rel. 24
hkl 1 1 4, 34.2 deg, 2.623 Å, rel. 41
hkl 2 2 2, 35.9 deg, 2.499 Å, rel. 68
hkl 3 1 0, 36.5 deg, 2.461 Å, rel. 100
hkl 2 0 4, 38.0 deg, 2.368 Å, rel. 43
hkl 2 1 5, 46.1 deg, 1.969 Å, rel. 26
hkl 3 2 3, 47.9 deg, 1.898 Å, rel. 46
hkl 4 0 4, 56.5 deg, 1.630 Å, rel. 39
hkl 3 3 4, 59.1 deg, 1.563 Å, rel. 26

Atomic structure:
```
data_GdCo9Si4
_chemical_formula_sum 'Gd4 Co36 Si16'
_cell_length_a 7.782
_cell_length_b 7.782
_cell_length_c 11.936
_cell_angle_alpha 90.00
_cell_angle_beta 90.00
_cell_angle_gamma 90.00
_symmetry_space_group_name_H-M 'I 4/m c m'
_symmetry_Int_Tables_number 140
_symmetry_space_group_name_Hall '-I 4 2c'
loop_
_atom_site_label
_atom_site_fract_x
_atom_site_fract_y
_atom_site_fract_z
Gd1 0.000 0.000 0.250
Co1 0.000 0.000 0.000
Co2 0.022 0.273 0.000
Co3 0.118 0.382 0.180
Si1 0.180 0.320 0.365
```

=====

Record 4
Computed powder XRD pattern
Compound: Sm3BiRu4O14
Radiation: Cu Kα
Structure: the PBE geometry in the Materials Project

Peak list (10 most intense, 5° ≤ 2θ ≤ 70°, sorted by position)
hkl 1 0 1, 14.8 deg, 6.000 Å, rel. 7
hkl 2 0 2, 29.8 deg, 3.000 Å, rel. 100
hkl 0 0 6, 30.0 deg, 2.983 Å, rel. 33
hkl 0 2 4, 34.6 deg, 2.594 Å, rel. 45
hkl 2 1 1, 37.7 deg, 2.386 Å, rel. 5
hkl 2 2 0, 49.6 deg, 1.838 Å, rel. 31
hkl 2 0 8, 49.8 deg, 1.831 Å, rel. 31
hkl 2 2 6, 59.0 deg, 1.566 Å, rel. 43
hkl 0 2 10, 59.2 deg, 1.560 Å, rel. 14
hkl 4 0 4, 61.9 deg, 1.500 Å, rel. 10

Atomic structure:
```
data_Sm3BiRu4O14
_chemical_formula_sum 'Sm9 Bi3 Ru12 O42'
_cell_length_a 7.3537
_cell_length_b 7.3537
_cell_length_c 17.8992
_cell_angle_alpha 90.00
_cell_angle_beta 90.00
_cell_angle_gamma 120.00
_symmetry_space_group_name_H-M 'R -3 m'
_symmetry_Int_Tables_number 166
_symmetry_space_group_name_Hall '-R 3 2"'
loop_
_atom_site_label
_atom_site_fract_x
_atom_site_fract_y
_atom_site_fract_z
Sm1 0.0000 0.5000 0.0000
Bi1 0.0000 0.0000 0.5000
Ru1 0.0000 0.0000 0.0000
Ru2 0.0000 0.5000 0.5000
O1 0.0000 0.0000 0.3729
O2 0.0578 0.5289 0.6108
O3 0.0594 0.5297 0.8597
```

=====

Record 5
Computed powder XRD pattern
Compound: Rb6Si2O7
Radiation: Cu Kα
Structure: the PBE geometry in the Materials Project

Peak list (10 most intense, 5° ≤ 2θ ≤ 70°, sorted by position)
hkl 0 2 2, 27.0 deg, 3.306 Å, rel. 82
hkl 2 1 -2, 27.7 deg, 3.218 Å, rel. 99
hkl 2 1 -1, 29.2 deg, 3.061 Å, rel. 91
hkl 1 2 -3, 30.2 deg, 2.963 Å, rel. 87
hkl 0 3 1, 30.3 deg, 2.949 Å, rel. 100
hkl 1 0 2, 31.2 deg, 2.867 Å, rel. 72
hkl 1 0 -4, 31.7 deg, 2.826 Å, rel. 55
hkl 2 0 -4, 32.7 deg, 2.742 Å, rel. 82
hkl 1 1 -4, 33.1 deg, 2.704 Å, rel. 84
hkl 1 3 1, 37.0 deg, 2.431 Å, rel. 65

Atomic structure:
```
data_Rb6Si2O7
_chemical_formula_sum 'Rb12 Si4 O14'
_cell_length_a 6.858
_cell_length_b 9.318
_cell_length_c 11.518
_cell_angle_alpha 90.00
_cell_angle_beta 125.43
_cell_angle_gamma 90.00
_symmetry_space_group_name_H-M 'P 1 21/c 1'
_symmetry_Int_Tables_number 14
_symmetry_space_group_name_Hall '-P 2ybc'
loop_
_atom_site_label
_atom_site_fract_x
_atom_site_fract_y
_atom_site_fract_z
Rb1 0.023 0.147 0.409
Rb2 0.208 0.527 0.456
Rb3 0.392 0.221 0.275
Si1 0.333 0.632 0.878
O1 0.092 0.656 0.876
O2 0.266 0.579 0.723
O3 0.496 0.223 0.064
O4 0.500 0.000 0.500
```

=====

Record 6
Computed powder XRD pattern
Compound: GdRu2
Radiation: Cu Kα
Structure: the PBE geometry in the Materials Project

Peak list (6 most intense, 5° ≤ 2θ ≤ 70°, sorted by position)
hkl 2 2 0, 33.4 deg, 2.685 Å, rel. 42
hkl 3 1 1, 39.4 deg, 2.289 Å, rel. 100
hkl 2 2 2, 41.2 deg, 2.192 Å, rel. 27
hkl 4 0 0, 47.9 deg, 1.898 Å, rel. 1
hkl 4 2 2, 59.7 deg, 1.550 Å, rel. 16
hkl 5 1 1, 63.7 deg, 1.461 Å, rel. 32

Atomic structure:
Cell lengths 7.593, 7.593, 7.593 Å; angles 90.00, 90.00, 90.00 degrees
Space group Fd-3m (No. 227, origin choice 2)
Asymmetric unit:
1 Gd 0.125 0.125 0.125
2 Ru 0.000 0.000 0.500

=====

Record 7
Computed powder XRD pattern
Compound: Ce2MgCd
Radiation: Cu Kα
Structure: the PBE geometry in the Materials Project

Peak list (10 most intense, 5° ≤ 2θ ≤ 70°, sorted by position)
hkl 1 1 1, 20.0 deg, 4.447 Å, rel. 10
hkl 2 0 0, 23.1 deg, 3.851 Å, rel. 13
hkl 2 2 0, 32.9 deg, 2.723 Å, rel. 100
hkl 3 1 1, 38.8 deg, 2.322 Å, rel. 6
hkl 2 2 2, 40.6 deg, 2.223 Å, rel. 4
hkl 4 0 0, 47.2 deg, 1.926 Å, rel. 18
hkl 3 3 1, 51.7 deg, 1.767 Å, rel. 2
hkl 4 2 0, 53.2 deg, 1.722 Å, rel. 6
hkl 4 2 2, 58.7 deg, 1.572 Å, rel. 37
hkl 4 4 0, 69.0 deg, 1.362 Å, rel. 11

Atomic structure:
```
data_Ce2MgCd
_chemical_formula_sum 'Ce8 Mg4 Cd4'
_cell_length_a 7.702
_cell_length_b 7.702
_cell_length_c 7.702
_cell_angle_alpha 90.00
_cell_angle_beta 90.00
_cell_angle_gamma 90.00
_symmetry_space_group_name_H-M 'F m -3 m'
_symmetry_Int_Tables_number 225
_symmetry_space_group_name_Hall '-F 4 2 3'
loop_
_atom_site_label
_atom_site_fract_x
_atom_site_fract_y
_atom_site_fract_z
Ce1 0.250 0.250 0.250
Mg1 0.000 0.000 0.000
Cd1 0.000 0.000 0.500
```

=====

Record 8
Computed powder XRD pattern
Compound: BaZnSbF7
Radiation: Cu Kα
Structure: the PBE geometry in the Materials Project

Peak list (10 most intense, 5° ≤ 2θ ≤ 70°, sorted by position)
hkl 1 2 -1, 24.0 deg, 3.701 Å, rel. 100
hkl 1 1 -2, 24.4 deg, 3.654 Å, rel. 44
hkl 1 1 2, 25.6 deg, 3.474 Å, rel. 62
hkl 0 1 3, 28.1 deg, 3.180 Å, rel. 43
hkl 1 3 0, 29.4 deg, 3.033 Å, rel. 22
hkl 2 0 0, 31.0 deg, 2.885 Å, rel. 26
hkl 0 3 3, 36.9 deg, 2.434 Å, rel. 27
hkl 2 1 -3, 41.1 deg, 2.198 Å, rel. 23
hkl 3 2 -1, 50.8 deg, 1.798 Å, rel. 28
hkl 1 2 5, 52.2 deg, 1.753 Å, rel. 21

Atomic structure:
```
data_BaZnSbF7
_chemical_formula_sum 'Ba4 Zn4 Sb4 F28'
_cell_length_a 5.779
_cell_length_b 10.698
_cell_length_c 10.008
_cell_angle_alpha 90.00
_cell_angle_beta 93.30
_cell_angle_gamma 90.00
_symmetry_space_group_name_H-M 'P 1 21/c 1'
_symmetry_Int_Tables_number 14
_symmetry_space_group_name_Hall '-P 2ybc'
loop_
_atom_site_label
_atom_site_fract_x
_atom_site_fract_y
_atom_site_fract_z
Ba1 0.236 0.169 0.010
Zn1 0.185 0.619 0.808
Sb1 0.291 0.594 0.170
F1 0.009 0.720 0.235
F2 0.081 0.535 0.639
F3 0.111 0.103 0.597
F4 0.310 0.708 0.982
F5 0.367 0.038 0.370
F6 0.407 0.538 0.366
F7 0.465 0.738 0.732
```

=====

Record 9
Computed powder XRD pattern
Compound: Na2InHgF6
Radiation: Cu Kα
Structure: the PBE geometry in the Materials Project

Peak list (10 most intense, 5° ≤ 2θ ≤ 70°, sorted by position)
hkl 2 0 0, 19.5 deg, 4.558 Å, rel. 100
hkl 2 2 0, 27.7 deg, 3.223 Å, rel. 96
hkl 3 1 1, 32.6 deg, 2.749 Å, rel. 9
hkl 2 2 2, 34.1 deg, 2.632 Å, rel. 8
hkl 4 0 0, 39.5 deg, 2.279 Å, rel. 40
hkl 4 2 0, 44.4 deg, 2.038 Å, rel. 46
hkl 4 2 2, 48.9 deg, 1.861 Å, rel. 40
hkl 4 4 0, 57.2 deg, 1.612 Å, rel. 25
hkl 6 0 0, 61.0 deg, 1.519 Å, rel. 22
hkl 6 2 0, 64.7 deg, 1.441 Å, rel. 19

Atomic structure:
```
data_Na2InHgF6
_chemical_formula_sum 'Na8 In4 Hg4 F24'
_cell_length_a 9.116
_cell_length_b 9.116
_cell_length_c 9.116
_cell_angle_alpha 90.00
_cell_angle_beta 90.00
_cell_angle_gamma 90.00
_symmetry_space_group_name_H-M 'F m -3 m'
_symmetry_Int_Tables_number 225
_symmetry_space_group_name_Hall '-F 4 2 3'
loop_
_atom_site_label
_atom_site_fract_x
_atom_site_fract_y
_atom_site_fract_z
Na1 0.250 0.250 0.250
In1 0.000 0.000 0.000
Hg1 0.000 0.000 0.500
F1 0.000 0.000 0.231
```

=====

Record 10
Computed powder XRD pattern
Compound: Bi12IrO20
Radiation: Cu Kα
Structure: the PBE geometry in the Materials Project

Peak list (10 most intense, 5° ≤ 2θ ≤ 70°, sorted by position)
hkl 2 2 0, 24.3 deg, 3.661 Å, rel. 13
hkl 3 1 0, 27.2 deg, 3.275 Å, rel. 100
hkl 2 2 2, 29.9 deg, 2.990 Å, rel. 26
hkl 3 2 1, 32.3 deg, 2.768 Å, rel. 72
hkl 4 2 2, 42.8 deg, 2.114 Å, rel. 13
hkl 4 1 3, 44.6 deg, 2.031 Å, rel. 18
hkl 5 0 3, 51.5 deg, 1.776 Å, rel. 35
hkl 6 0 0, 53.1 deg, 1.726 Å, rel. 20
hkl 5 3 2, 54.6 deg, 1.680 Å, rel. 31
hkl 6 3 1, 60.6 deg, 1.527 Å, rel. 21

Atomic structure:
```
data_Bi12IrO20
_chemical_formula_sum 'Bi24 Ir2 O40'
_cell_length_a 10.356
_cell_length_b 10.356
_cell_length_c 10.356
_cell_angle_alpha 90.00
_cell_angle_beta 90.00
_cell_angle_gamma 90.00
_symmetry_space_group_name_H-M 'I 2 3'
_symmetry_Int_Tables_number 197
_symmetry_space_group_name_Hall 'I 2 2 3'
loop_
_atom_site_label
_atom_site_fract_x
_atom_site_fract_y
_atom_site_fract_z
Bi1 0.016 0.178 0.320
Ir1 0.000 0.000 0.000
O1 0.011 0.368 0.750
O2 0.109 0.109 0.891
O3 0.193 0.193 0.193
```